Entry 1:
# Pu4Ga12Re
Calculated X-ray powder pattern, Cu Kα (λ = 1.5418 Å). Input: the GGA-PBE geometry in Alexandria.
Lines closer than 0.1° are merged.

Atomic structure:
a b c (Å): 7.502 7.502 7.502
angles (deg): 109.47 109.47 109.47
Fractional coordinates of all 17 atoms:
Pu (0.000, 0.000, 0.500)
Pu (0.000, 0.500, 0.000)
Pu (0.500, 0.000, 0.000)
Pu (0.500, 0.500, 0.500)
Ga (0.000, 0.290, 0.290)
Ga (0.000, 0.710, 0.710)
Ga (0.250, 0.500, 0.750)
Ga (0.250, 0.750, 0.500)
Ga (0.290, 0.000, 0.290)
Ga (0.290, 0.290, 0.000)
Ga (0.500, 0.250, 0.750)
Ga (0.500, 0.750, 0.250)
Ga (0.710, 0.000, 0.710)
Ga (0.710, 0.710, 0.000)
Ga (0.750, 0.250, 0.500)
Ga (0.750, 0.500, 0.250)
Re (0.000, 0.000, 0.000)

Top 6 peaks for 2θ = 5–70°, by angle:
Position (°2θ), intensity
20.5, 223
29.2, 756
35.9, 1000
41.7, 743
51.7, 280
60.4, 464

Entry 2:
# SmB2Ru5
Calculated X-ray powder pattern, Cu Kα (λ = 1.5418 Å). Input: the GGA-PBE geometry in Alexandria.
Lines closer than 0.1° are merged.

Atomic structure:
a b c (Å): 3.753 6.754 8.870
angles (deg): 90.00 90.00 90.00
Fractional coordinates of all 16 atoms:
Sm (0.000, 0.000, 0.000)
Sm (0.500, 0.500, 0.500)
B (0.000, 0.500, 0.242)
B (0.000, 0.500, 0.758)
B (0.500, 0.000, 0.258)
B (0.500, 0.000, 0.742)
Ru (0.000, 0.193, 0.345)
Ru (0.000, 0.193, 0.655)
Ru (0.000, 0.500, 0.000)
Ru (0.000, 0.807, 0.345)
Ru (0.000, 0.807, 0.655)
Ru (0.500, 0.000, 0.500)
Ru (0.500, 0.307, 0.155)
Ru (0.500, 0.307, 0.845)
Ru (0.500, 0.693, 0.155)
Ru (0.500, 0.693, 0.845)

Top 6 peaks for 2θ = 5–70°, by angle:
Position (°2θ), intensity
27.2, 180
33.3, 440
37.2, 965
38.8, 1000
48.5, 282
49.2, 286

Entry 3:
# La8Ni3RhCl4
Calculated X-ray powder pattern, Cu Kα (λ = 1.5418 Å). Input: the GGA-PBE geometry in Alexandria.
Lines closer than 0.1° are merged.

Atomic structure:
a b c (Å): 8.280 8.280 8.977
angles (deg): 117.50 117.50 59.88
Fractional coordinates of all 16 atoms:
La (0.233, 0.736, 0.705)
La (0.234, 0.234, 0.701)
La (0.264, 0.264, 0.296)
La (0.264, 0.767, 0.295)
La (0.736, 0.233, 0.705)
La (0.736, 0.736, 0.704)
La (0.766, 0.766, 0.299)
La (0.767, 0.264, 0.295)
Ni (0.000, 0.000, 0.500)
Ni (0.000, 0.500, 0.500)
Ni (0.500, 0.000, 0.500)
Rh (0.500, 0.500, 0.500)
Cl (0.000, 0.000, 0.000)
Cl (0.000, 0.500, 0.000)
Cl (0.500, 0.000, 0.000)
Cl (0.500, 0.500, 0.000)

Top 6 peaks for 2θ = 5–70°, by angle:
Position (°2θ), intensity
11.6, 290
26.1, 244
29.4, 1000
40.5, 293
43.8, 369
53.6, 179

Entry 4:
# PrThCu3
Calculated X-ray powder pattern, Cu Kα (λ = 1.5418 Å). Input: the GGA-PBE geometry in Alexandria.
Lines closer than 0.1° are merged.

Atomic structure:
a b c (Å): 13.751 13.751 4.376
angles (deg): 90.00 90.00 165.02
Fractional coordinates of all 10 atoms:
Pr (0.203, 0.797, 0.750)
Pr (0.797, 0.203, 0.250)
Th (0.069, 0.931, 0.250)
Th (0.931, 0.069, 0.750)
Cu (0.336, 0.664, 0.750)
Cu (0.385, 0.615, 0.250)
Cu (0.477, 0.523, 0.250)
Cu (0.523, 0.477, 0.750)
Cu (0.615, 0.385, 0.750)
Cu (0.664, 0.336, 0.250)

Top 6 peaks for 2θ = 5–70°, by angle:
Position (°2θ), intensity
24.2, 437
33.8, 1000
34.0, 662
36.3, 337
38.9, 413
54.5, 344

Entry 5:
# KSn4S8
Calculated X-ray powder pattern, Cu Kα (λ = 1.5418 Å). Input: the GGA-PBE geometry in Alexandria.
Lines closer than 0.1° are merged.

Atomic structure:
a b c (Å): 7.476 7.476 10.249
angles (deg): 122.56 122.56 59.99
Fractional coordinates of all 13 atoms:
K (0.000, 0.000, 0.000)
Sn (0.253, 0.747, 0.500)
Sn (0.255, 0.255, 0.508)
Sn (0.745, 0.745, 0.492)
Sn (0.747, 0.253, 0.500)
S (0.003, 0.003, 0.680)
S (0.006, 0.513, 0.686)
S (0.487, 0.994, 0.314)
S (0.490, 0.490, 0.311)
S (0.510, 0.510, 0.689)
S (0.513, 0.006, 0.686)
S (0.994, 0.487, 0.314)
S (0.997, 0.997, 0.320)

Top 6 peaks for 2θ = 5–70°, by angle:
Position (°2θ), intensity
11.0, 1000
27.6, 177
29.6, 135
29.8, 248
35.7, 241
48.7, 149

Entry 6:
# Ba4CaTl2
Calculated X-ray powder pattern, Cu Kα (λ = 1.5418 Å). Input: the GGA-PBE geometry in Alexandria.
Lines closer than 0.1° are merged.

Atomic structure:
a b c (Å): 10.429 10.429 10.429
angles (deg): 33.96 33.96 33.96
Fractional coordinates of all 7 atoms:
Ba (0.111, 0.111, 0.111)
Ba (0.368, 0.368, 0.368)
Ba (0.632, 0.632, 0.632)
Ba (0.889, 0.889, 0.889)
Ca (0.500, 0.500, 0.500)
Tl (0.237, 0.237, 0.237)
Tl (0.763, 0.763, 0.763)

Top 6 peaks for 2θ = 5–70°, by angle:
Position (°2θ), intensity
17.9, 367
27.1, 264
29.3, 1000
29.6, 677
42.1, 258
52.2, 276